Pm6ErPb: computed X-ray diffraction stick pattern (copper Kα), based on a DFT-relaxed cell (GGA-PBE, Alexandria).
Peak positions follow from Bragg's law for the DFT cell and can differ from measured ones.

Main lines, sorted by position (2θ = 5–70°):
2.914 Å, rel. 100, (1 1 2); 2.579 Å, rel. 18, (0 0 4); 2.497 Å, rel. 33, (2 0 0); 1.794 Å, rel. 24, (2 0 4); 1.766 Å, rel. 12, (2 2 0); 1.546 Å, rel. 15, (1 1 6); 1.510 Å, rel. 28, (3 1 2); 1.457 Å, rel. 12, (2 2 4)

Cell and atoms:
```
Pm6ErPb
1.0
4.9947 0.0000 0.0000
0.0000 4.9947 0.0000
0.0000 0.0000 10.3146
Pm Er Pb
6 1 1
Cartesian
0.0000 0.0000 0.0000
0.0000 0.0000 5.1573
0.0000 2.4974 2.5280
0.0000 2.4974 7.7865
2.4974 0.0000 2.5280
2.4974 0.0000 7.7865
2.4974 2.4974 5.1573
2.4974 2.4974 0.0000
```